For Nd2CdAg5, a crystal structure in Alexandria, relaxed with PBE gives the calculated XRD peak list in this record (Cu Kα X-rays).
Kinematic intensities with the Lorentz-polarization factor, no thermal factor.

Principal peaks in the range 2θ = 10–80°, in order of rising 2θ:
2θ = 31.27°, rel. 14; 2θ = 34.65°, rel. 100; 2θ = 36.60°, rel. 13; 2θ = 37.05°, rel. 43; 2θ = 41.08°, rel. 15; 2θ = 46.02°, rel. 9; 2θ = 53.40°, rel. 11; 2θ = 60.00°, rel. 13; 2θ = 60.50°, rel. 10; 2θ = 65.23°, rel. 18

Unit cell a=6.8633 b=6.8633 c=7.8881 alpha=90.00 beta=90.00 gamma=90.00
Space group I4mm (No. 107)
Inequivalent atoms, fractional coordinates:
1 Nd 0.0000 0.5000 0.0000 [4 per cell]
2 Cd 0.0000 0.0000 0.4216 [2 per cell]
3 Ag 0.0000 0.0000 0.0488 [2 per cell]
4 Ag 0.2077 0.2077 0.7491 [8 per cell]

***

For K3Tc, a crystal structure in Alexandria, relaxed with PBE gives the calculated XRD peak list in this record (Cu Kα X-rays).
Kinematic intensities with the Lorentz-polarization factor, no thermal factor.

Principal peaks in the range 2θ = 10–80°, in order of rising 2θ:
2θ = 17.43°, rel. 21; 2θ = 27.69°, rel. 100; 2θ = 30.49°, rel. 38; 2θ = 35.08°, rel. 13; 2θ = 35.32°, rel. 11; 2θ = 43.66°, rel. 13; 2θ = 47.15°, rel. 21; 2θ = 52.49°, rel. 30; 2θ = 57.19°, rel. 11; 2θ = 58.52°, rel. 10

Unit cell a=5.8633 b=5.8633 c=10.2336 alpha=90.00 beta=90.00 gamma=90.00
Space group I4/mmm (No. 139)
Inequivalent atoms, fractional coordinates:
1 K 0.0000 0.0000 0.0000 [2 per cell]
2 K 0.0000 0.5000 0.2500 [4 per cell]
3 Tc 0.0000 0.0000 0.5000 [2 per cell]

***

For Cs3HfBi3, a crystal structure in Alexandria, relaxed with PBE gives the calculated XRD peak list in this record (Cu Kα X-rays).
Kinematic intensities with the Lorentz-polarization factor, no thermal factor.

Principal peaks in the range 2θ = 10–80°, in order of rising 2θ:
2θ = 12.90°, rel. 62; 2θ = 13.58°, rel. 29; 2θ = 22.03°, rel. 35; 2θ = 24.09°, rel. 100; 2θ = 25.89°, rel. 61; 2θ = 26.87°, rel. 48; 2θ = 28.73°, rel. 29; 2θ = 35.40°, rel. 28; 2θ = 35.90°, rel. 29; 2θ = 37.40°, rel. 31

Unit cell a=10.9386 b=13.0401 c=10.4591 alpha=90.00 beta=98.04 gamma=90.00
Space group C2/m (No. 12)
Inequivalent atoms, fractional coordinates:
1 Cs 0.0000 0.1666 0.0000 [4 per cell]
2 Cs 0.0000 0.2896 0.5000 [4 per cell]
3 Cs 0.1250 0.5000 0.8650 [4 per cell]
4 Hf 0.1319 0.0000 0.6221 [4 per cell]
5 Bi 0.1282 0.0000 0.3452 [4 per cell]
6 Bi 0.2046 0.3734 0.2126 [8 per cell]